The following is a simulated powder XRD pattern of Tm8Ga3Co. It was derived from DFT lattice parameters and positions (PBE), using Cu Kα (weighted mean of Kα1 and Kα2).
Peak positions follow from Bragg's law for the DFT cell and can differ from measured ones.

Crystal structure
Cell: 9.875 9.875 6.836 Å, 90.00 90.00 120.00°
Atoms (fractional coordinates):
Tm: 0.000 0.000 0.097
Tm: 0.000 0.000 0.597
Tm: 0.072 0.536 0.120
Tm: 0.173 0.347 0.819
Tm: 0.173 0.827 0.819
Tm: 0.333 0.667 0.500
Tm: 0.347 0.173 0.319
Tm: 0.464 0.536 0.120
Tm: 0.464 0.928 0.120
Tm: 0.536 0.072 0.620
Tm: 0.536 0.464 0.620
Tm: 0.653 0.827 0.819
Tm: 0.667 0.333 0.000
Tm: 0.827 0.173 0.319
Tm: 0.827 0.653 0.319
Tm: 0.928 0.464 0.620
Ga: 0.163 0.327 0.368
Ga: 0.163 0.837 0.368
Ga: 0.327 0.163 0.868
Ga: 0.673 0.837 0.368
Ga: 0.837 0.163 0.868
Ga: 0.837 0.673 0.868
Co: 0.333 0.667 0.886
Co: 0.667 0.333 0.386

Principal peaks in the range 10 to 80 degrees two-theta, low angle first:
two_theta, intensity
24.56, 19
30.59, 45
31.84, 22
33.57, 100
34.08, 20
36.39, 89
40.99, 11
50.34, 17
62.47, 17
66.55, 12